Structure and theoretical X-ray powder pattern of PrSO (a PBE-relaxed structure; Cu Kα (λ = 1.5418 Å)).

Top 10 peaks for 10° ≤ 2θ ≤ 80°, sorted by position:
12.82 deg, rel. 40
23.98 deg, rel. 38
27.11 deg, rel. 87
31.03 deg, rel. 42
31.72 deg, rel. 100
31.89 deg, rel. 18
36.54 deg, rel. 30
44.98 deg, rel. 28
45.09 deg, rel. 23
55.43 deg, rel. 18

Atomic structure:
Unit cell a=5.747 b=5.764 c=7.036 alpha=90.00 beta=101.14 gamma=90.00
Space group C2/m (No. 12)
One atom of each set of equivalent atoms:
Pr: 0.218 0.000 0.323
S: 0.145 0.500 0.116
O: 0.000 0.244 0.500